# 1
# NpAl10Re2
Simulated powder diffraction line list, Cu Kα X-rays. Input: a crystal structure in Alexandria, relaxed with PBE.
Peak positions follow from Bragg's law for the DFT cell and can differ from measured ones.

```
NpAl10Re2
1.0
4.556 -5.181 0.000
4.556 5.181 0.000
0.000 0.000 9.185
Np Al Re
2 20 4
direct
0.126 0.874 0.750 Np
0.874 0.126 0.250 Np
0.140 0.406 0.750 Al
0.153 0.847 0.099 Al
0.153 0.847 0.401 Al
0.214 0.474 0.250 Al
0.223 0.223 0.000 Al
0.223 0.223 0.500 Al
0.376 0.624 0.541 Al
0.376 0.624 0.959 Al
0.406 0.140 0.250 Al
0.474 0.214 0.750 Al
0.526 0.786 0.250 Al
0.594 0.860 0.750 Al
0.624 0.376 0.041 Al
0.624 0.376 0.459 Al
0.777 0.777 0.000 Al
0.777 0.777 0.500 Al
0.786 0.526 0.750 Al
0.847 0.153 0.599 Al
0.847 0.153 0.901 Al
0.860 0.594 0.250 Al
0.000 0.500 0.000 Re
0.000 0.500 0.500 Re
0.500 0.000 0.000 Re
0.500 0.000 0.500 Re
```

Most intense lines, 5° ≤ 2θ ≤ 70°, in order of rising 2θ:
two_theta	I_rel
16.2	32.4
17.1	50.7
27.6	78.9
32.6	34.3
39.5	65.6
40.0	100.0



# 2
# Fe4Ir12Os3
Simulated powder diffraction line list, Cu Kα X-rays. Input: a crystal structure in Alexandria, relaxed with PBE.
Peak positions follow from Bragg's law for the DFT cell and can differ from measured ones.

```
Fe4Ir12Os3
1.0
-4.581 4.581 4.581
4.581 -4.581 4.581
4.581 4.581 -4.581
Fe Ir Os
4 12 3
direct
0.000 0.000 0.500 Fe
0.000 0.500 0.000 Fe
0.500 0.000 0.000 Fe
0.500 0.500 0.500 Fe
0.097 0.737 0.360 Ir
0.263 0.360 0.623 Ir
0.263 0.640 0.903 Ir
0.360 0.097 0.737 Ir
0.360 0.623 0.263 Ir
0.377 0.737 0.640 Ir
0.623 0.263 0.360 Ir
0.640 0.377 0.737 Ir
0.640 0.903 0.263 Ir
0.737 0.360 0.097 Ir
0.737 0.640 0.377 Ir
0.903 0.263 0.640 Ir
0.000 0.500 0.500 Os
0.500 0.000 0.500 Os
0.500 0.500 0.000 Os
```

Most intense lines, 5° ≤ 2θ ≤ 70°, in order of rising 2θ:
two_theta	I_rel
13.7	100.0
36.7	36.4
39.3	19.8
44.2	48.2
48.7	39.2
50.8	21.9